For AcCu6, a DFT-relaxed cell (PBE, Alexandria) gives the simulated PXRD pattern in this record (copper Kα).
Lines closer than 0.1° are merged.

Structure:
Cell: 8.187 5.341 10.295 Å, 90.00 90.00 90.00°
Sites, in units of the cell vectors:
Ac1 0.236 0.250 0.063
Ac2 0.264 0.750 0.563
Ac3 0.736 0.250 0.437
Ac4 0.764 0.750 0.937
Cu1 0.066 0.005 0.311
Cu2 0.066 0.495 0.311
Cu3 0.073 0.750 0.105
Cu4 0.102 0.250 0.517
Cu5 0.153 0.750 0.858
Cu6 0.178 0.250 0.755
Cu7 0.322 0.750 0.255
Cu8 0.347 0.250 0.358
Cu9 0.398 0.750 0.017
Cu10 0.427 0.250 0.605
Cu11 0.434 0.505 0.811
Cu12 0.434 0.995 0.811
Cu13 0.566 0.005 0.189
Cu14 0.566 0.495 0.189
Cu15 0.573 0.750 0.395
Cu16 0.602 0.250 0.983
Cu17 0.653 0.750 0.642
Cu18 0.678 0.250 0.745
Cu19 0.822 0.750 0.245
Cu20 0.847 0.250 0.142
Cu21 0.898 0.750 0.483
Cu22 0.927 0.250 0.895
Cu23 0.934 0.505 0.689
Cu24 0.934 0.995 0.689

Most intense lines, 15° ≤ 2θ ≤ 90°, most intense first:
Position (°2θ)  d [Å]  I_rel  (hkl)
38.0  2.366  100  3 1 1
38.1  2.359  63  2 1 3
36.6  2.455  45  1 0 4
21.7  4.100  41  2 0 0
33.6  2.671  32  0 2 0
63.0  1.475  31  3 3 1
40.3  2.237  30  2 2 0
31.0  2.887  29  0 1 3
44.4  2.041  23  1 2 3
44.9  2.017  21  2 1 4